1.
The following is a theoretical powder XRD pattern of Er3ReO7. It was derived from a DFT-relaxed cell (PBE, Alexandria), using Cu Kα, 1.54184 Å.
Peak positions follow from Bragg's law for the DFT cell and can differ from measured ones.

Largest 6 diffraction maxima, most intense first, 2θ from 10° to 90°:
Position (°2θ)	intensity
29.32	100
29.69	100
49.20	55
34.13	49
58.61	41
57.96	23

Crystal structure
a b c (Å): 6.429 6.429 7.364
angles (deg): 90.00 90.00 108.65
Atoms (fractional coordinates):
1 Er 0.035 0.501 0.257
2 Er 0.036 0.036 0.000
3 Er 0.499 0.965 0.243
4 Er 0.501 0.035 0.743
5 Er 0.964 0.964 0.500
6 Er 0.965 0.499 0.757
7 Re 0.499 0.499 0.500
8 Re 0.501 0.501 0.000
9 O 0.131 0.869 0.750
10 O 0.138 0.862 0.250
11 O 0.172 0.417 0.976
12 O 0.189 0.447 0.538
13 O 0.417 0.172 0.024
14 O 0.426 0.574 0.250
15 O 0.447 0.189 0.462
16 O 0.553 0.811 0.962
17 O 0.574 0.426 0.750
18 O 0.583 0.828 0.524
19 O 0.811 0.553 0.038
20 O 0.828 0.583 0.476
21 O 0.862 0.138 0.750
22 O 0.869 0.131 0.250


2.
The following is a theoretical powder XRD pattern of Sr2ErRe3O12. It was derived from a DFT-relaxed cell (PBE, Alexandria), using Cu Kα, 1.54184 Å.
Peak positions follow from Bragg's law for the DFT cell and can differ from measured ones.

Largest 6 diffraction maxima, most intense first, 2θ from 10° to 90°:
Position (°2θ)	intensity
29.45	100
30.03	98
14.89	76
28.36	76
49.14	57
31.52	36

Crystal structure
a b c (Å): 6.793 6.793 6.793
angles (deg): 66.16 66.16 66.16
Atoms (fractional coordinates):
1 Sr 0.124 0.124 0.124
2 Sr 0.876 0.876 0.876
3 Er 0.500 0.500 0.500
4 Re 0.000 0.500 0.500
5 Re 0.500 0.000 0.500
6 Re 0.500 0.500 0.000
7 O 0.095 0.631 0.631
8 O 0.219 0.219 0.598
9 O 0.219 0.598 0.219
10 O 0.369 0.369 0.905
11 O 0.369 0.905 0.369
12 O 0.402 0.781 0.781
13 O 0.598 0.219 0.219
14 O 0.631 0.095 0.631
15 O 0.631 0.631 0.095
16 O 0.781 0.402 0.781
17 O 0.781 0.781 0.402
18 O 0.905 0.369 0.369


3.
The following is a theoretical powder XRD pattern of Er2Rh2O7. It was derived from a DFT-relaxed cell (PBE, Alexandria), using Cu Kα, 1.54184 Å.
Peak positions follow from Bragg's law for the DFT cell and can differ from measured ones.

Largest 6 diffraction maxima, most intense first, 2θ from 10° to 90°:
Position (°2θ)	intensity
30.46	100
50.80	47
60.40	42
35.31	33
82.76	17
85.41	14

Crystal structure
a b c (Å): 7.189 7.189 7.189
angles (deg): 60.00 60.00 60.00
Atoms (fractional coordinates):
1 Er 0.000 0.000 0.000
2 Er 0.000 0.000 0.500
3 Er 0.000 0.500 0.000
4 Er 0.500 0.000 0.000
5 Rh 0.000 0.500 0.500
6 Rh 0.500 0.000 0.500
7 Rh 0.500 0.500 0.000
8 Rh 0.500 0.500 0.500
9 O 0.125 0.125 0.125
10 O 0.162 0.162 0.588
11 O 0.162 0.588 0.162
12 O 0.162 0.588 0.588
13 O 0.412 0.412 0.838
14 O 0.412 0.838 0.412
15 O 0.412 0.838 0.838
16 O 0.588 0.162 0.162
17 O 0.588 0.162 0.588
18 O 0.588 0.588 0.162
19 O 0.838 0.412 0.412
20 O 0.838 0.412 0.838
21 O 0.838 0.838 0.412
22 O 0.875 0.875 0.875


4.
The following is a theoretical powder XRD pattern of Er4Ru6O19. It was derived from a DFT-relaxed cell (PBE, Alexandria), using Cu Kα, 1.54184 Å.
Peak positions follow from Bragg's law for the DFT cell and can differ from measured ones.

Largest 6 diffraction maxima, most intense first, 2θ from 10° to 90°:
Position (°2θ)	intensity
31.68	100
24.41	93
52.22	65
37.68	41
56.43	37
34.79	29

Crystal structure
a b c (Å): 7.735 7.735 7.735
angles (deg): 109.47 109.47 109.47
Atoms (fractional coordinates):
1 Er 0.000 0.000 0.293
2 Er 0.000 0.293 0.000
3 Er 0.293 0.000 0.000
4 Er 0.707 0.707 0.707
5 Ru 0.140 0.500 0.640
6 Ru 0.360 0.860 0.500
7 Ru 0.500 0.360 0.860
8 Ru 0.500 0.640 0.140
9 Ru 0.640 0.140 0.500
10 Ru 0.860 0.500 0.360
11 O 0.000 0.000 0.000
12 O 0.000 0.318 0.318
13 O 0.000 0.682 0.682
14 O 0.055 0.754 0.374
15 O 0.246 0.301 0.620
16 O 0.301 0.620 0.246
17 O 0.318 0.000 0.318
18 O 0.318 0.318 0.000
19 O 0.320 0.699 0.945
20 O 0.374 0.055 0.754
21 O 0.380 0.680 0.626
22 O 0.620 0.246 0.301
23 O 0.626 0.380 0.680
24 O 0.680 0.626 0.380
25 O 0.682 0.000 0.682
26 O 0.682 0.682 0.000
27 O 0.699 0.945 0.320
28 O 0.754 0.374 0.055
29 O 0.945 0.320 0.699


5.
The following is a theoretical powder XRD pattern of Er2ZnTe2S2O14. It was derived from a DFT-relaxed cell (PBE, Alexandria), using Cu Kα, 1.54184 Å.
Peak positions follow from Bragg's law for the DFT cell and can differ from measured ones.

Largest 6 diffraction maxima, most intense first, 2θ from 10° to 90°:
Position (°2θ)	intensity
25.17	100
24.30	83
24.64	79
30.15	70
13.35	67
26.52	48

Crystal structure
a b c (Å): 5.288 7.877 8.150
angles (deg): 64.09 73.57 85.53
Atoms (fractional coordinates):
1 Er 0.081 0.253 0.017
2 Er 0.919 0.747 0.983
3 Zn 0.000 0.000 0.500
4 Te 0.481 0.726 0.664
5 Te 0.519 0.274 0.336
6 S 0.241 0.756 0.246
7 S 0.759 0.244 0.754
8 O 0.103 0.596 0.249
9 O 0.144 0.770 0.428
10 O 0.179 0.928 0.086
11 O 0.242 0.561 0.897
12 O 0.247 0.924 0.670
13 O 0.277 0.196 0.245
14 O 0.470 0.270 0.792
15 O 0.530 0.730 0.208
16 O 0.723 0.804 0.755
17 O 0.753 0.076 0.330
18 O 0.758 0.439 0.103
19 O 0.821 0.072 0.914
20 O 0.856 0.230 0.572
21 O 0.897 0.404 0.751


6.
The following is a theoretical powder XRD pattern of Er2US3O2. It was derived from a DFT-relaxed cell (PBE, Alexandria), using Cu Kα, 1.54184 Å.
Peak positions follow from Bragg's law for the DFT cell and can differ from measured ones.

Largest 6 diffraction maxima, most intense first, 2θ from 10° to 90°:
Position (°2θ)	intensity
26.80	100
33.53	58
42.56	38
38.30	29
25.45	28
55.96	28

Crystal structure
a b c (Å): 3.780 3.780 21.000
angles (deg): 90.00 90.00 90.00
Atoms (fractional coordinates):
1 Er 0.000 0.000 0.000
2 Er 0.000 0.000 0.314
3 Er 0.500 0.500 0.500
4 Er 0.500 0.500 0.814
5 U 0.000 0.000 0.692
6 U 0.500 0.500 0.192
7 S 0.000 0.000 0.130
8 S 0.000 0.000 0.506
9 S 0.000 0.000 0.872
10 S 0.500 0.500 0.006
11 S 0.500 0.500 0.372
12 S 0.500 0.500 0.630
13 O 0.000 0.500 0.250
14 O 0.000 0.500 0.750
15 O 0.500 0.000 0.250
16 O 0.500 0.000 0.750